Theoretical powder XRD pattern
Compound: Y2BeSi2Au
Radiation: Cu Ka
Structure: the PBE geometry in OQMD
Peak positions follow from Bragg's law for the DFT cell and can differ from measured ones.

```
data_Y2BeSi2Au
_chemical_formula_sum 'Y2 Be1 Si2 Au1'
_cell_length_a 4.0888
_cell_length_b 4.0888
_cell_length_c 8.1403
_cell_angle_alpha 90.00
_cell_angle_beta 90.00
_cell_angle_gamma 120.00
_symmetry_space_group_name_H-M 'P -6 m 2'
_symmetry_Int_Tables_number 187
_symmetry_space_group_name_Hall 'P -6 2'
loop_
_atom_site_label
_atom_site_type_symbol
_atom_site_fract_x
_atom_site_fract_y
_atom_site_fract_z
Y1 Y 0.0000 0.0000 0.2420
Be1 Be 0.3333 0.6667 0.0000
Si1 Si 0.3333 0.6667 0.5000
Si2 Si 0.6667 0.3333 0.0000
Au1 Au 0.6667 0.3333 0.5000
```

Main lines, by angle (2θ from 5° to 70°):
2θ (°), I_rel, (hkl)
10.9, 57, 0 0 1
25.1, 25, 1 0 0
27.5, 36, 1 0 1
33.5, 100, 1 0 2
41.9, 9, 1 0 3
44.3, 36, 1 1 0
44.5, 12, 0 0 4
45.8, 12, 1 1 1
56.7, 22, 2 0 2
64.6, 23, 1 1 4

---

Theoretical powder XRD pattern
Compound: Be2WAu
Radiation: Cu Ka
Structure: the PBE geometry in OQMD
Peak positions follow from Bragg's law for the DFT cell and can differ from measured ones.

```
data_Be2WAu
_chemical_formula_sum 'Be8 W4 Au4'
_cell_length_a 6.0476
_cell_length_b 6.0476
_cell_length_c 6.0476
_cell_angle_alpha 90.00
_cell_angle_beta 90.00
_cell_angle_gamma 90.00
_symmetry_space_group_name_H-M 'F -4 3 m'
_symmetry_Int_Tables_number 216
_symmetry_space_group_name_Hall 'F -4 2 3'
loop_
_atom_site_label
_atom_site_type_symbol
_atom_site_fract_x
_atom_site_fract_y
_atom_site_fract_z
Be1 Be 0.0000 0.0000 0.0000
Be2 Be 0.2500 0.2500 0.2500
W1 W 0.0000 0.0000 0.5000
Au1 Au 0.2500 0.2500 0.7500
```

Main lines, by angle (2θ from 5° to 70°):
2θ (°), I_rel, (hkl)
25.5, 100, 1 1 1
42.3, 92, 2 2 0
50.0, 50, 3 1 1
61.3, 15, 4 0 0
67.5, 21, 3 3 1

---

Theoretical powder XRD pattern
Compound: ZrBe2Au
Radiation: Cu Ka
Structure: the PBE geometry in OQMD
Peak positions follow from Bragg's law for the DFT cell and can differ from measured ones.

```
data_ZrBe2Au
_chemical_formula_sum 'Zr4 Be8 Au4'
_cell_length_a 6.2375
_cell_length_b 6.2375
_cell_length_c 6.2375
_cell_angle_alpha 90.00
_cell_angle_beta 90.00
_cell_angle_gamma 90.00
_symmetry_space_group_name_H-M 'F -4 3 m'
_symmetry_Int_Tables_number 216
_symmetry_space_group_name_Hall 'F -4 2 3'
loop_
_atom_site_label
_atom_site_type_symbol
_atom_site_fract_x
_atom_site_fract_y
_atom_site_fract_z
Zr1 Zr 0.0000 0.0000 0.0000
Be1 Be 0.0000 0.0000 0.5000
Be2 Be 0.2500 0.2500 0.7500
Au1 Au 0.2500 0.2500 0.2500
```

Main lines, by angle (2θ from 5° to 70°):
2θ (°), I_rel, (hkl)
24.7, 100, 1 1 1
28.6, 13, 2 0 0
40.9, 84, 2 2 0
48.4, 51, 3 1 1
50.7, 4, 2 2 2
59.3, 14, 4 0 0
65.2, 21, 3 3 1
67.1, 5, 4 2 0

---

Theoretical powder XRD pattern
Compound: BiAu9
Radiation: Cu Ka
Structure: the PBE geometry in OQMD
Peak positions follow from Bragg's law for the DFT cell and can differ from measured ones.

```
data_BiAu9
_chemical_formula_sum 'Bi2 Au18'
_cell_length_a 3.0760
_cell_length_b 3.0760
_cell_length_c 51.4545
_cell_angle_alpha 90.00
_cell_angle_beta 90.00
_cell_angle_gamma 90.00
_symmetry_space_group_name_H-M 'P 4/n m m'
_symmetry_Int_Tables_number 129
loop_
_symmetry_equiv_pos_as_xyz
'x,y,z'
'-x,-y,-z'
'-y+1/2,x,z'
'y+1/2,-x,-z'
'-x+1/2,-y+1/2,z'
'x+1/2,y+1/2,-z'
'y,-x+1/2,z'
'-y,x+1/2,-z'
'x+1/2,-y,-z'
'-x+1/2,y,z'
'-y,-x,-z'
'y,x,z'
'-x,y+1/2,-z'
'x,-y+1/2,z'
'y+1/2,x+1/2,-z'
'-y+1/2,-x+1/2,z'
loop_
_atom_site_label
_atom_site_type_symbol
_atom_site_fract_x
_atom_site_fract_y
_atom_site_fract_z
Bi1 Bi 0.2500 0.2500 0.1365
Au1 Au 0.2500 0.2500 0.2198
Au2 Au 0.2500 0.2500 0.2947
Au3 Au 0.2500 0.2500 0.3694
Au4 Au 0.2500 0.2500 0.4440
Au5 Au 0.2500 0.2500 0.5187
Au6 Au 0.2500 0.2500 0.5933
Au7 Au 0.2500 0.2500 0.6679
Au8 Au 0.2500 0.2500 0.7426
Au9 Au 0.2500 0.2500 0.8183
```

Main lines, by angle (2θ from 5° to 70°):
2θ (°), I_rel, (hkl)
5.2, 23, 0 0 3
34.0, 5, 1 0 10
37.0, 100, 1 0 13
38.2, 42, 1 0 14
41.5, 52, 1 1 0
45.9, 7, 0 0 26
47.7, 10, 0 0 27
60.2, 18, 2 0 0
63.6, 11, 1 1 26
65.1, 16, 1 1 27

---

Theoretical powder XRD pattern
Compound: Bi3Au2
Radiation: Cu Ka
Structure: the PBE geometry in OQMD
Peak positions follow from Bragg's law for the DFT cell and can differ from measured ones.

```
data_Bi3Au2
_chemical_formula_sum 'Bi27 Au18'
_cell_length_a 9.1104
_cell_length_b 9.1104
_cell_length_c 16.4451
_cell_angle_alpha 90.00
_cell_angle_beta 90.00
_cell_angle_gamma 120.00
_symmetry_space_group_name_H-M 'R -3'
_symmetry_Int_Tables_number 148
_symmetry_space_group_name_Hall '-R 3'
loop_
_atom_site_label
_atom_site_type_symbol
_atom_site_fract_x
_atom_site_fract_y
_atom_site_fract_z
Bi1 Bi 0.0000 0.0000 0.0000
Bi2 Bi 0.0000 0.0000 0.2060
Bi3 Bi 0.0142 0.2277 0.5955
Au1 Au 0.0213 0.6158 0.5673
```

Main lines, by angle (2θ from 5° to 70°):
2θ (°), I_rel, (hkl)
29.4, 30, 0 1 5
30.5, 55, 2 1 1
31.9, 100, 1 2 2
32.7, 28, 0 0 6
34.1, 35, 3 0 0
37.2, 67, 3 -1 4
38.3, 44, 1 1 6
43.0, 26, 4 -2 3
54.2, 25, 3 -2 8
65.6, 16, 5 0 5

---

Theoretical powder XRD pattern
Compound: BiAu9
Radiation: Cu Ka
Structure: the PBE geometry in OQMD
Peak positions follow from Bragg's law for the DFT cell and can differ from measured ones.

```
data_BiAu9
_chemical_formula_sum 'Bi2 Au18'
_cell_length_a 3.0867
_cell_length_b 4.0320
_cell_length_c 43.4212
_cell_angle_alpha 90.00
_cell_angle_beta 90.00
_cell_angle_gamma 90.00
_symmetry_space_group_name_H-M 'P m m n'
_symmetry_Int_Tables_number 59
loop_
_symmetry_equiv_pos_as_xyz
'x,y,z'
'-x,-y,-z'
'-x+1/2,-y+1/2,z'
'x+1/2,y+1/2,-z'
'x+1/2,-y,-z'
'-x+1/2,y,z'
'-x,y+1/2,-z'
'x,-y+1/2,z'
loop_
_atom_site_label
_atom_site_type_symbol
_atom_site_fract_x
_atom_site_fract_y
_atom_site_fract_z
Bi1 Bi 0.2500 0.2500 0.1753
Au1 Au 0.2500 0.2500 0.2482
Au2 Au 0.2500 0.2500 0.3159
Au3 Au 0.2500 0.2500 0.3830
Au4 Au 0.2500 0.2500 0.4499
Au5 Au 0.2500 0.2500 0.5166
Au6 Au 0.2500 0.2500 0.5834
Au7 Au 0.2500 0.2500 0.6503
Au8 Au 0.2500 0.2500 0.7176
Au9 Au 0.2500 0.2500 0.7866
```

Main lines, by angle (2θ from 5° to 70°):
2θ (°), I_rel, (hkl)
36.6, 23, 0 1 14
36.7, 100, 1 1 0
36.9, 8, 1 1 2
38.3, 63, 0 1 15
41.3, 16, 1 0 14
42.8, 46, 1 0 15
45.0, 28, 0 2 0
59.9, 12, 2 0 0
62.7, 10, 1 2 14
63.8, 29, 1 2 15

---

Theoretical powder XRD pattern
Compound: Bi12Au7
Radiation: Cu Ka
Structure: the PBE geometry in OQMD
Peak positions follow from Bragg's law for the DFT cell and can differ from measured ones.

```
data_Bi12Au7
_chemical_formula_sum 'Bi36 Au21'
_cell_length_a 12.9979
_cell_length_b 12.9979
_cell_length_c 11.8693
_cell_angle_alpha 90.00
_cell_angle_beta 90.00
_cell_angle_gamma 120.00
_symmetry_space_group_name_H-M 'R -3'
_symmetry_Int_Tables_number 148
_symmetry_space_group_name_Hall '-R 3'
loop_
_atom_site_label
_atom_site_type_symbol
_atom_site_fract_x
_atom_site_fract_y
_atom_site_fract_z
Bi1 Bi 0.0409 0.2253 0.4059
Bi2 Bi 0.0481 0.2287 0.9062
Au1 Au 0.0000 0.0000 0.0000
Au2 Au 0.0460 0.2488 0.6582
```

Main lines, by angle (2θ from 5° to 70°):
2θ (°), I_rel, (hkl)
22.2, 46, 2 1 1
22.5, 15, 0 0 3
25.8, 23, 3 -2 2
36.6, 100, 1 4 0
36.9, 95, 2 1 4
43.4, 16, 5 -1 3
53.0, 34, 6 -4 4
65.9, 17, 6 3 0
66.1, 32, 3 5 4
66.8, 19, 3 -2 8

---

Theoretical powder XRD pattern
Compound: Bi5Au3
Radiation: Cu Ka
Structure: the PBE geometry in OQMD
Peak positions follow from Bragg's law for the DFT cell and can differ from measured ones.

```
data_Bi5Au3
_chemical_formula_sum 'Bi20 Au12'
_cell_length_a 16.4079
_cell_length_b 6.2597
_cell_length_c 11.5911
_cell_angle_alpha 90.00
_cell_angle_beta 134.95
_cell_angle_gamma 90.00
_symmetry_space_group_name_H-M 'C 1 2/m 1'
_symmetry_Int_Tables_number 12
_symmetry_space_group_name_Hall '-C 2y'
loop_
_atom_site_label
_atom_site_type_symbol
_atom_site_fract_x
_atom_site_fract_y
_atom_site_fract_z
Bi1 Bi 0.0000 0.2499 0.0000
Bi2 Bi 0.0819 0.0000 0.7930
Bi3 Bi 0.0850 0.5000 0.3719
Bi4 Bi 0.2110 0.0000 0.6297
Bi5 Bi 0.2130 0.5000 0.7975
Au1 Au 0.0000 0.2534 0.5000
Au2 Au 0.1585 0.0000 0.3181
Au3 Au 0.1597 0.5000 0.0012
```

Main lines, by angle (2θ from 5° to 70°):
2θ (°), I_rel, (hkl)
28.5, 24, 0 2 0
31.3, 59, 5 1 -3
32.5, 54, 2 2 0
34.6, 58, 6 0 -2
35.0, 100, 5 1 -4
36.1, 39, 0 2 2
42.5, 20, 4 2 0
54.8, 28, 3 3 -4
64.1, 18, 0 2 5
65.2, 21, 10 2 -4

---

Theoretical powder XRD pattern
Compound: GaCoBiAu
Radiation: Cu Ka
Structure: the PBE geometry in OQMD
Peak positions follow from Bragg's law for the DFT cell and can differ from measured ones.

```
data_GaCoBiAu
_chemical_formula_sum 'Ga4 Co4 Bi4 Au4'
_cell_length_a 6.7150
_cell_length_b 6.7150
_cell_length_c 6.7150
_cell_angle_alpha 90.00
_cell_angle_beta 90.00
_cell_angle_gamma 90.00
_symmetry_space_group_name_H-M 'F -4 3 m'
_symmetry_Int_Tables_number 216
_symmetry_space_group_name_Hall 'F -4 2 3'
loop_
_atom_site_label
_atom_site_type_symbol
_atom_site_fract_x
_atom_site_fract_y
_atom_site_fract_z
Ga1 Ga 0.0000 0.0000 0.0000
Co1 Co 0.0000 0.0000 0.5000
Bi1 Bi 0.2500 0.2500 0.7500
Au1 Au 0.2500 0.2500 0.2500
```

Main lines, by angle (2θ from 5° to 70°):
2θ (°), I_rel, (hkl)
26.5, 30, 2 0 0
37.9, 100, 2 2 0
46.9, 9, 2 2 2
54.7, 17, 4 0 0
61.8, 13, 4 2 0
68.4, 35, 4 2 2

---

Theoretical powder XRD pattern
Compound: CsBi4Au4
Radiation: Cu Ka
Structure: the PBE geometry in OQMD
Peak positions follow from Bragg's law for the DFT cell and can differ from measured ones.

```
data_CsBi4Au4
_chemical_formula_sum 'Cs2 Bi8 Au8'
_cell_length_a 7.3036
_cell_length_b 7.3036
_cell_length_c 9.9376
_cell_angle_alpha 90.00
_cell_angle_beta 90.00
_cell_angle_gamma 90.00
_symmetry_space_group_name_H-M 'P 42/n m c'
_symmetry_Int_Tables_number 137
loop_
_symmetry_equiv_pos_as_xyz
'x,y,z'
'-x,-y,-z'
'-y+1/2,x,z+1/2'
'y+1/2,-x,-z+1/2'
'-x+1/2,-y+1/2,z'
'x+1/2,y+1/2,-z'
'y,-x+1/2,z+1/2'
'-y,x+1/2,-z+1/2'
'x+1/2,-y,-z'
'-x+1/2,y,z'
'-y,-x,-z+1/2'
'y,x,z+1/2'
'-x,y+1/2,-z'
'x,-y+1/2,z'
'y+1/2,x+1/2,-z+1/2'
'-y+1/2,-x+1/2,z+1/2'
loop_
_atom_site_label
_atom_site_type_symbol
_atom_site_fract_x
_atom_site_fract_y
_atom_site_fract_z
Cs1 Cs 0.2500 0.7500 0.2500
Bi1 Bi 0.0072 0.2500 0.1108
Au1 Au 0.0572 0.2500 0.4027
```

Main lines, by angle (2θ from 5° to 70°):
2θ (°), I_rel, (hkl)
15.1, 37, 1 0 1
28.8, 100, 2 1 1
29.6, 56, 1 0 3
34.7, 59, 2 2 0
36.2, 25, 0 0 4
38.1, 20, 3 0 1
38.7, 48, 2 1 3
46.3, 51, 3 0 3
49.9, 25, 4 0 0
51.0, 45, 2 2 4

---

Theoretical powder XRD pattern
Compound: Cs2KBi2Au3
Radiation: Cu Ka
Structure: the PBE geometry in OQMD
Peak positions follow from Bragg's law for the DFT cell and can differ from measured ones.

```
data_Cs2KBi2Au3
_chemical_formula_sum 'Cs6 K3 Bi6 Au9'
_cell_length_a 6.8616
_cell_length_b 6.8616
_cell_length_c 22.7210
_cell_angle_alpha 90.00
_cell_angle_beta 90.00
_cell_angle_gamma 120.00
_symmetry_space_group_name_H-M 'R -3 m'
_symmetry_Int_Tables_number 166
_symmetry_space_group_name_Hall '-R 3 2"'
loop_
_atom_site_label
_atom_site_type_symbol
_atom_site_fract_x
_atom_site_fract_y
_atom_site_fract_z
Cs1 Cs 0.0000 0.0000 0.0811
K1 K 0.0000 0.0000 0.5000
Bi1 Bi 0.0000 0.0000 0.2472
Au1 Au 0.0000 0.5000 0.0000
```

Main lines, by angle (2θ from 5° to 70°):
2θ (°), I_rel, (hkl)
11.7, 92, 0 0 3
16.8, 79, 0 1 2
24.7, 32, 0 1 5
26.0, 43, 1 1 0
30.3, 67, 0 2 1
34.1, 70, 0 2 4
35.3, 100, 1 1 6
44.1, 32, 2 0 8
52.1, 34, 3 0 6
53.4, 39, 2 2 0

---

Theoretical powder XRD pattern
Compound: CsK2Bi2Au3
Radiation: Cu Ka
Structure: the PBE geometry in OQMD
Peak positions follow from Bragg's law for the DFT cell and can differ from measured ones.

```
data_CsK2Bi2Au3
_chemical_formula_sum 'Cs3 K6 Bi6 Au9'
_cell_length_a 6.4914
_cell_length_b 6.4914
_cell_length_c 22.4788
_cell_angle_alpha 90.00
_cell_angle_beta 90.00
_cell_angle_gamma 120.00
_symmetry_space_group_name_H-M 'R -3 m'
_symmetry_Int_Tables_number 166
_symmetry_space_group_name_Hall '-R 3 2"'
loop_
_atom_site_label
_atom_site_type_symbol
_atom_site_fract_x
_atom_site_fract_y
_atom_site_fract_z
Cs1 Cs 0.0000 0.0000 0.0000
K1 K 0.0000 0.0000 0.4226
Bi1 Bi 0.0000 0.0000 0.2587
Au1 Au 0.0000 0.5000 0.5000
```

Main lines, by angle (2θ from 5° to 70°):
2θ (°), I_rel, (hkl)
11.8, 56, 0 0 3
16.3, 28, 1 0 1
17.6, 79, 0 1 2
27.5, 29, 1 1 0
30.0, 37, 1 1 3
32.1, 66, 1 0 7
35.7, 100, 0 2 4
36.6, 43, 1 1 6
45.7, 51, 2 0 8
56.7, 36, 2 2 0